This entry pairs a crystal structure of Pm2GaSiRh6 with its calculated XRD peak list. Radiation: Cu Ka. Structure: the GGA-PBE geometry in Alexandria.

Structure:
```
data_Pm2GaSiRh6
_chemical_formula_sum 'Pm4 Ga2 Si2 Rh12'
_cell_length_a 6.4178
_cell_length_b 6.4314
_cell_length_c 9.0855
_cell_angle_alpha 90.00
_cell_angle_beta 90.00
_cell_angle_gamma 90.00
_space_group_name_H-M_alt 'I m m m'
_space_group_IT_number 71
_space_group_name_Hall '-I 2 2'
loop_
_atom_site_label
_atom_site_type_symbol
_atom_site_fract_x
_atom_site_fract_y
_atom_site_fract_z
_atom_site_occupancy
Pm1 Pm 0.0000 0.0000 0.2500 1
Ga1 Ga 0.0000 0.5000 0.0000 1
Si1 Si 0.0000 0.5000 0.5000 1
Rh1 Rh 0.0000 0.5000 0.2562 1
Rh2 Rh 0.2438 0.2562 0.5000 1
```

Largest 10 diffraction maxima, sorted by position, 2θ = 10–90°:
- hkl 2 0 0, 27.77 deg, 3.212 Å, rel. 131
- hkl 2 0 2, 34.19 deg, 2.623 Å, rel. 1000
- hkl 2 2 0, 39.68 deg, 2.271 Å, rel. 771
- hkl 3 1 2, 49.12 deg, 1.855 Å, rel. 54
- hkl 2 2 4, 57.36 deg, 1.606 Å, rel. 428
- hkl 4 0 0, 57.43 deg, 1.604 Å, rel. 85
- hkl 4 2 2, 68.50 deg, 1.370 Å, rel. 383
- hkl 0 4 4, 71.95 deg, 1.312 Å, rel. 86
- hkl 4 0 4, 72.07 deg, 1.310 Å, rel. 85
- hkl 4 4 0, 85.50 deg, 1.136 Å, rel. 82


This entry pairs a crystal structure of Pm2FeTc2N6 with its calculated XRD peak list. Radiation: Cu Ka. Structure: the GGA-PBE geometry in Alexandria.

Structure:
```
data_Pm2FeTc2N6
_chemical_formula_sum 'Pm6 Fe3 Tc6 N18'
_cell_length_a 5.8396
_cell_length_b 5.8396
_cell_length_c 15.4208
_cell_angle_alpha 90.00
_cell_angle_beta 90.00
_cell_angle_gamma 120.00
_space_group_name_H-M_alt 'R -3 m'
_space_group_IT_number 166
_space_group_name_Hall '-R 3 2"'
loop_
_atom_site_label
_atom_site_type_symbol
_atom_site_fract_x
_atom_site_fract_y
_atom_site_fract_z
_atom_site_occupancy
Pm1 Pm 0.0000 0.0000 0.2027 1
Fe1 Fe 0.0000 0.0000 0.0000 1
Tc1 Tc 0.0000 0.0000 0.4248 1
N1 N 0.0304 0.5152 0.7440 1
```

Largest 10 diffraction maxima, sorted by position, 2θ = 10–90°:
- hkl 0 0 3, 17.25 deg, 5.140 Å, rel. 170
- hkl 1 1 0, 30.62 deg, 2.920 Å, rel. 1000
- hkl 0 1 5, 34.05 deg, 2.633 Å, rel. 647
- hkl 1 1 3, 35.35 deg, 2.539 Å, rel. 200
- hkl 2 0 5, 46.44 deg, 1.955 Å, rel. 259
- hkl 3 0 0, 54.43 deg, 1.686 Å, rel. 195
- hkl 1 2 5, 56.65 deg, 1.625 Å, rel. 324
- hkl 2 2 0, 63.75 deg, 1.460 Å, rel. 157
- hkl 3 1 5, 74.29 deg, 1.277 Å, rel. 130
- hkl 4 1 0, 88.62 deg, 1.104 Å, rel. 102


This entry pairs a crystal structure of ErPaIrRu with its calculated XRD peak list. Radiation: Cu Ka. Structure: the GGA-PBE geometry in Alexandria.

Structure:
```
data_ErPaIrRu
_chemical_formula_sum 'Er2 Pa2 Ir2 Ru2'
_cell_length_a 7.8854
_cell_length_b 4.5940
_cell_length_c 5.3119
_cell_angle_alpha 90.00
_cell_angle_beta 119.57
_cell_angle_gamma 90.00
_space_group_name_H-M_alt 'C 1 m 1'
_space_group_IT_number 8
loop_
_space_group_symop_operation_xyz
'x,y,z'
'x,-y,z'
'x+1/2,y+1/2,z'
'x+1/2,-y+1/2,z'
loop_
_atom_site_label
_atom_site_type_symbol
_atom_site_fract_x
_atom_site_fract_y
_atom_site_fract_z
_atom_site_occupancy
Er1 Er 0.0000 0.0000 0.0000 1
Pa1 Pa 0.0020 0.5000 0.5088 1
Ir1 Ir 0.2712 0.5000 0.3184 1
Ru1 Ru 0.2223 0.0000 0.6554 1
```

Largest 10 diffraction maxima, sorted by position, 2θ = 10–90°:
- hkl 0 0 1, 19.21 deg, 4.620 Å, rel. 232
- hkl 1 1 1, 34.34 deg, 2.611 Å, rel. 1000
- hkl 2 0 -2, 34.49 deg, 2.601 Å, rel. 481
- hkl 0 2 0, 39.22 deg, 2.297 Å, rel. 416
- hkl 3 1 -1, 39.50 deg, 2.281 Å, rel. 814
- hkl 2 2 -2, 53.20 deg, 1.722 Å, rel. 285
- hkl 4 0 0, 53.44 deg, 1.715 Å, rel. 148
- hkl 2 0 2, 58.12 deg, 1.587 Å, rel. 197
- hkl 4 2 0, 68.26 deg, 1.374 Å, rel. 143
- hkl 3 3 -1, 71.27 deg, 1.323 Å, rel. 146


This entry pairs a crystal structure of LaPuBr5 with its calculated XRD peak list. Radiation: Cu Ka. Structure: the GGA-PBE geometry in Alexandria.

Structure:
```
data_LaPuBr5
_chemical_formula_sum 'La2 Pu2 Br10'
_cell_length_a 8.4838
_cell_length_b 4.2027
_cell_length_c 13.9111
_cell_angle_alpha 90.00
_cell_angle_beta 92.93
_cell_angle_gamma 90.00
_space_group_name_H-M_alt 'P 1 21/m 1'
_space_group_IT_number 11
loop_
_space_group_symop_operation_xyz
'x,y,z'
'-x,-y,-z'
'-x,y+1/2,-z'
'x,-y+1/2,z'
loop_
_atom_site_label
_atom_site_type_symbol
_atom_site_fract_x
_atom_site_fract_y
_atom_site_fract_z
_atom_site_occupancy
La1 La 0.0806 0.2500 0.1574 1
Pu1 Pu 0.4136 0.7500 0.3578 1
Br1 Br 0.1399 0.2500 0.7842 1
Br2 Br 0.1554 0.2500 0.3733 1
Br3 Br 0.1852 0.7500 0.0158 1
Br4 Br 0.3544 0.7500 0.5706 1
Br5 Br 0.4349 0.2500 0.1952 1
```

Largest 10 diffraction maxima, sorted by position, 2θ = 10–90°:
- hkl 1 0 -1, 11.95 deg, 7.404 Å, rel. 1000
- hkl 1 0 3, 22.34 deg, 3.980 Å, rel. 161
- hkl 1 1 2, 27.20 deg, 3.278 Å, rel. 364
- hkl 2 1 0, 29.95 deg, 2.984 Å, rel. 338
- hkl 1 1 -3, 30.25 deg, 2.954 Å, rel. 286
- hkl 0 0 5, 32.22 deg, 2.778 Å, rel. 359
- hkl 0 1 4, 33.46 deg, 2.678 Å, rel. 198
- hkl 1 1 -5, 39.88 deg, 2.261 Å, rel. 163
- hkl 2 1 4, 40.56 deg, 2.224 Å, rel. 191
- hkl 0 2 0, 43.04 deg, 2.101 Å, rel. 198


This entry pairs a crystal structure of LaScSn6 with its calculated XRD peak list. Radiation: Cu Ka. Structure: the GGA-PBE geometry in Alexandria.

Structure:
```
data_LaScSn6
_chemical_formula_sum 'La1 Sc1 Sn6'
_cell_length_a 4.8368
_cell_length_b 4.8368
_cell_length_c 8.9750
_cell_angle_alpha 90.00
_cell_angle_beta 90.00
_cell_angle_gamma 90.00
_space_group_name_H-M_alt 'P 4/m m m'
_space_group_IT_number 123
_space_group_name_Hall '-P 4 2'
loop_
_atom_site_label
_atom_site_type_symbol
_atom_site_fract_x
_atom_site_fract_y
_atom_site_fract_z
_atom_site_occupancy
La1 La 0.0000 0.0000 0.0000 1
Sc1 Sc 0.0000 0.0000 0.5000 1
Sn1 Sn 0.0000 0.5000 0.2649 1
Sn2 Sn 0.5000 0.5000 0.0000 1
Sn3 Sn 0.5000 0.5000 0.5000 1
```

Largest 10 diffraction maxima, sorted by position, 2θ = 10–90°:
- hkl 1 1 2, 32.93 deg, 2.720 Å, rel. 1000
- hkl 2 0 0, 37.18 deg, 2.418 Å, rel. 368
- hkl 0 0 4, 40.19 deg, 2.244 Å, rel. 138
- hkl 2 2 0, 53.59 deg, 1.710 Å, rel. 130
- hkl 2 0 4, 55.90 deg, 1.645 Å, rel. 214
- hkl 3 1 2, 64.35 deg, 1.448 Å, rel. 299
- hkl 1 1 6, 68.46 deg, 1.370 Å, rel. 108
- hkl 2 2 4, 69.06 deg, 1.360 Å, rel. 116
- hkl 4 0 0, 79.22 deg, 1.209 Å, rel. 44
- hkl 3 3 2, 88.49 deg, 1.105 Å, rel. 68


This entry pairs a crystal structure of In4CoHg with its calculated XRD peak list. Radiation: Cu Ka. Structure: the GGA-PBE geometry in Alexandria.

Structure:
```
data_In4CoHg
_chemical_formula_sum 'In16 Co4 Hg4'
_cell_length_a 8.4796
_cell_length_b 8.4796
_cell_length_c 8.4796
_cell_angle_alpha 90.00
_cell_angle_beta 90.00
_cell_angle_gamma 90.00
_space_group_name_H-M_alt 'F -4 3 m'
_space_group_IT_number 216
_space_group_name_Hall 'F -4 2 3'
loop_
_atom_site_label
_atom_site_type_symbol
_atom_site_fract_x
_atom_site_fract_y
_atom_site_fract_z
_atom_site_occupancy
In1 In 0.1247 0.1247 0.1247 1
Co1 Co 0.2500 0.2500 0.7500 1
Hg1 Hg 0.0000 0.0000 0.5000 1
```

Largest 10 diffraction maxima, sorted by position, 2θ = 10–90°:
- hkl 1 1 1, 18.12 deg, 4.896 Å, rel. 103
- hkl 2 2 0, 29.80 deg, 2.998 Å, rel. 286
- hkl 3 1 1, 35.10 deg, 2.557 Å, rel. 1000
- hkl 2 2 2, 36.71 deg, 2.448 Å, rel. 377
- hkl 4 2 2, 52.90 deg, 1.731 Å, rel. 115
- hkl 5 1 1, 56.38 deg, 1.632 Å, rel. 335
- hkl 4 4 0, 61.90 deg, 1.499 Å, rel. 268
- hkl 5 3 3, 73.19 deg, 1.293 Å, rel. 115
- hkl 6 2 2, 74.18 deg, 1.278 Å, rel. 139
- hkl 5 5 3, 88.59 deg, 1.104 Å, rel. 218